Sm3YPd3: theoretical PXRD pattern (copper Kα), based on the PBE geometry in Alexandria.
Intensities are scaled so that the largest is 100.

Main lines, by intensity (2θ from 10° to 90°):
| h k l | d/Å | 2theta | Rel. int. |
| --- | --- | --- | --- |
| 2 0 2 | 2.500 | 35.92 | 100 |
| 3 0 0 | 2.887 | 30.98 | 34 |
| 0 2 4 | 1.443 | 64.57 | 23 |
| 2 3 2 | 1.667 | 55.11 | 17 |
| 5 2 0 | 1.387 | 67.55 | 14 |
| 0 4 2 | 1.768 | 51.71 | 13 |
| 4 1 0 | 1.890 | 48.15 | 11 |
| 1 1 0 | 5.001 | 17.74 | 10 |
| 0 7 2 | 1.147 | 84.46 | 10 |
| 1 2 2 | 2.236 | 40.34 | 9 |

Structure:
```
data_Sm3YPd3
_symmetry_space_group_name_H-M 'R 3 m'
_symmetry_Int_Tables_number 160
_symmetry_space_group_name_Hall 'R 3 -2"'
_cell_length_a 10.0021
_cell_length_b 10.0021
_cell_length_c 6.1206
_cell_angle_alpha 90.00
_cell_angle_beta 90.00
_cell_angle_gamma 120.00
loop_
_atom_site_label
_atom_site_type_symbol
_atom_site_fract_x
_atom_site_fract_y
_atom_site_fract_z
_atom_site_occupancy
Sm1 Sm 0.0462 0.5231 0.0000 1
Y1 Y 0.0000 0.0000 0.9065 1
Pd1 Pd 0.0021 0.5010 0.4785 1
```